For PuTlTe2Au, a DFT-relaxed cell (PBE, Alexandria) gives the simulated XRD peak list in this record (copper Kα).

Crystal structure
Lattice parameters (Å, degrees): 8.5478 5.0845 8.1982 90.00 101.06 90.00
Space group P2/c (No. 13)
One atom of each set of equivalent atoms:
1 Pu 0.0000 0.0028 0.2500 x2
2 Tl 0.5000 0.3155 0.7500 x2
3 Te 0.2613 0.2017 0.0509 x4
4 Au 0.0000 0.5000 0.0000 x2

Largest 12 diffraction maxima, in order of falling intensity, 2θ from 10° to 90°:
2θ = 24.21°, intensity 100; 2θ = 31.77°, intensity 95; 2θ = 28.69°, intensity 87; 2θ = 10.55°, intensity 85; 2θ = 36.95°, intensity 69; 2θ = 21.18°, intensity 59; 2θ = 27.62°, intensity 51; 2θ = 43.13°, intensity 50; 2θ = 39.73°, intensity 49; 2θ = 32.86°, intensity 48; 2θ = 36.49°, intensity 37; 2θ = 41.54°, intensity 37